For PrNdY4, DFT lattice parameters and positions (PBE) gives the simulated X-ray powder pattern in this record (Cu Kα (weighted mean of Kα1 and Kα2)).
No peak broadening, texture or thermal motion is included.

Main lines, sorted by position (10° ≤ 2θ ≤ 90°):
- d 4.974, I = 6.2, (0 1 -1)
- d 2.869, I = 100.0, (0 2 0)
- d 2.861, I = 33.9, (1 1 1)
- d 2.027, I = 25.0, (1 2 -2)
- d 1.657, I = 30.1, (0 3 3)
- d 1.655, I = 8.7, (1 3 1)
- d 1.495, I = 14.8, (2 2 0)
- d 1.436, I = 7.7, (0 4 0)
- d 1.284, I = 9.2, (1 4 -2)
- d 1.204, I = 5.7, (2 3 -3)

Crystal structure
a b c (Å): 3.5004 5.7434 9.9494
angles (deg): 90.03 90.06 90.09
Space group P-1 (No. 2)
Inequivalent atoms, fractional coordinates:
Pr1 0.0000 0.0000 0.0000
Nd1 0.0000 0.5000 0.5000
Y1 0.5001 0.0001 0.3338
Y2 0.5001 0.4999 0.1672


For La2GaNiH, DFT lattice parameters and positions (PBE) gives the simulated X-ray powder pattern in this record (Cu Kα (weighted mean of Kα1 and Kα2)).
No peak broadening, texture or thermal motion is included.

Main lines, sorted by position (10° ≤ 2θ ≤ 90°):
- d 3.520, I = 87.2, (1 1 0)
- d 3.029, I = 56.4, (2 0 0)
- d 2.980, I = 47.1, (1 0 2)
- d 2.900, I = 69.3, (0 1 2)
- d 2.814, I = 100.0, (1 1 -2)
- d 2.724, I = 50.7, (2 0 -2)
- d 2.454, I = 74.8, (1 1 2)
- d 2.305, I = 41.9, (2 1 -2)
- d 2.163, I = 63.0, (0 2 0)
- d 1.830, I = 36.6, (3 1 0)

Crystal structure
a b c (Å): 6.2325 4.3258 8.0403
angles (deg): 90.00 103.60 90.00
Space group P2_1/m (No. 11)
Inequivalent atoms, fractional coordinates:
La1 0.2275 0.2500 0.4150
La2 0.2397 0.2500 0.9728
Ga1 0.3278 0.7500 0.7112
Ni1 0.4503 0.7500 0.2368
H1 0.1791 0.7500 0.1758


For LaCd3Sb3, DFT lattice parameters and positions (PBE) gives the simulated X-ray powder pattern in this record (Cu Kα (weighted mean of Kα1 and Kα2)).
No peak broadening, texture or thermal motion is included.

Main lines, sorted by position (10° ≤ 2θ ≤ 90°):
- d 3.533, I = 73.8, (0 2 2)
- d 3.313, I = 64.9, (0 1 -3)
- d 3.178, I = 100.0, (1 1 -2)
- d 3.127, I = 40.5, (1 -1 2)
- d 3.003, I = 96.2, (1 2 2)
- d 2.673, I = 37.9, (0 3 0)
- d 2.595, I = 83.3, (-1 2 2)
- d 2.542, I = 46.8, (1 1 4)
- d 2.319, I = 41.7, (0 1 5)
- d 2.247, I = 39.8, (2 0 0)

Crystal structure
a b c (Å): 4.5450 8.1642 11.7661
angles (deg): 81.57 85.06 82.31
Space group P-1 (No. 2)
Inequivalent atoms, fractional coordinates:
La1 0.2243 0.1252 0.1724
Cd1 0.0949 0.5554 0.3146
Cd2 0.2536 0.4494 0.9142
Cd3 0.2670 0.8713 0.4796
Sb1 0.2057 0.1237 0.6708
Sb2 0.2269 0.7774 0.0377
Sb3 0.3668 0.6610 0.6947


For BeNb2V2, DFT lattice parameters and positions (PBE) gives the simulated X-ray powder pattern in this record (Cu Kα (weighted mean of Kα1 and Kα2)).
No peak broadening, texture or thermal motion is included.

Main lines, sorted by position (10° ≤ 2θ ≤ 90°):
- d 4.776, I = 27.3, (1 1 0)
- d 3.377, I = 14.2, (2 0 0)
- d 3.021, I = 10.7, (2 1 0)
- d 2.279, I = 100.0, (2 1 1)
- d 2.136, I = 22.6, (3 1 0)
- d 1.736, I = 9.2, (0 0 2)
- d 1.592, I = 11.1, (3 3 0)
- d 1.482, I = 12.0, (4 1 1)
- d 1.347, I = 9.5, (3 1 2)
- d 1.180, I = 15.9, (5 2 1)

Crystal structure
a b c (Å): 6.7548 6.7548 3.4727
angles (deg): 90.00 90.00 90.00
Space group P4/mbm (No. 127)
Inequivalent atoms, fractional coordinates:
Be1 0.0000 0.0000 0.0000
Nb1 0.1526 0.3474 0.0000
V1 0.1561 0.6561 0.5000


For Np2AlGa9, DFT lattice parameters and positions (PBE) gives the simulated X-ray powder pattern in this record (Cu Kα (weighted mean of Kα1 and Kα2)).
No peak broadening, texture or thermal motion is included.

Main lines, sorted by position (10° ≤ 2θ ≤ 90°):
- d 8.091, I = 30.3, (0 0 1)
- d 4.819, I = 47.8, (1 1 0)
- d 4.784, I = 24.7, (1 1 -1)
- d 2.514, I = 84.2, (2 2 -1)
- d 2.409, I = 20.8, (2 2 0)
- d 2.373, I = 59.1, (0 4 0)
- d 2.345, I = 100.0, (0 2 3)
- d 2.010, I = 21.5, (2 0 2)
- d 1.980, I = 20.6, (2 0 -4)
- d 1.364, I = 19.8, (0 6 3)

Crystal structure
a b c (Å): 5.9284 9.4901 8.5753
angles (deg): 90.00 109.34 90.00
Space group C2/m (No. 12)
Inequivalent atoms, fractional coordinates:
Np1 0.0814 0.0000 0.1649
Al1 0.0000 0.5000 0.5000
Ga1 0.0000 0.0000 0.5000
Ga2 0.0887 0.2520 0.6736
Ga3 0.0903 0.5000 0.1817
Ga4 0.2500 0.2500 0.0000


For Ce3SmGa2, DFT lattice parameters and positions (PBE) gives the simulated X-ray powder pattern in this record (Cu Kα (weighted mean of Kα1 and Kα2)).
No peak broadening, texture or thermal motion is included.

Main lines, sorted by position (10° ≤ 2θ ≤ 90°):
- d 2.956, I = 34.2, (1 1 -2)
- d 2.842, I = 47.4, (6 0 -2)
- d 2.833, I = 100.0, (3 1 1)
- d 2.636, I = 82.5, (4 0 -3)
- d 2.618, I = 43.9, (5 1 -2)
- d 2.304, I = 28.5, (3 1 -3)
- d 2.259, I = 52.6, (0 2 0)
- d 1.768, I = 23.5, (6 2 -2)
- d 1.763, I = 19.8, (8 0 1)
- d 1.391, I = 20.3, (3 3 1)

Crystal structure
a b c (Å): 18.0503 4.5174 8.0369
angles (deg): 90.00 115.90 90.00
Space group C2/m (No. 12)
Inequivalent atoms, fractional coordinates:
Ce1 0.0643 0.0000 0.4564
Ce2 0.1297 0.5000 0.6885
Ce3 0.2031 0.5000 0.4280
Sm1 0.1121 0.0000 0.0421
Ga1 0.0136 0.5000 0.1773
Ga2 0.2499 0.0000 0.8918


For Y4TmCd5, DFT lattice parameters and positions (PBE) gives the simulated X-ray powder pattern in this record (Cu Kα (weighted mean of Kα1 and Kα2)).
No peak broadening, texture or thermal motion is included.

Main lines, sorted by position (10° ≤ 2θ ≤ 90°):
- d 6.247, I = 0.8, (0 0 3)
- d 2.644, I = 100.0, (1 1 0)
- d 1.874, I = 5.8, (0 0 10)
- d 1.868, I = 11.7, (2 0 0)
- d 1.528, I = 11.8, (1 1 10)
- d 1.526, I = 23.6, (2 1 5)
- d 1.323, I = 7.2, (2 0 10)
- d 1.321, I = 3.6, (2 2 0)
- d 1.185, I = 5.0, (1 0 15)
- d 1.181, I = 10.0, (3 1 0)

Crystal structure
a b c (Å): 3.7353 3.7353 18.7416
angles (deg): 90.00 90.00 90.00
Space group P4/mmm (No. 123)
Inequivalent atoms, fractional coordinates:
Y1 0.0000 0.0000 0.1006
Y2 0.0000 0.0000 0.3018
Tm1 0.0000 0.0000 0.5000
Cd1 0.5000 0.5000 0.0000
Cd2 0.5000 0.5000 0.2009
Cd3 0.5000 0.5000 0.4032